Entry 1:
Starting from a crystal structure in Alexandria, relaxed with GGA-PBE, the X-ray diffraction stick pattern of Tm6PbAu2Se3 was simulated for Cu Kα (λ = 1.5418 Å).
Kinematic intensities with the Lorentz-polarization factor, no thermal factor.

Top 10 peaks for 2θ = 10–90°, by angle:
2θ 12.21, rel. 133; 2θ 30.47, rel. 504; 2θ 30.77, rel. 1000; 2θ 42.31, rel. 591; 2θ 45.38, rel. 289; 2θ 45.72, rel. 184; 2θ 50.35, rel. 115; 2θ 55.94, rel. 184; 2θ 70.34, rel. 128; 2θ 75.21, rel. 129

Cell and atoms:
```
Tm6PbAu2Se3
1.0
9.302 -1.984 0.000
9.302 1.984 0.000
-2.778 0.000 8.113
Tm Pb Au Se
6 1 2 3
Direct
0.009 0.009 0.269
0.326 0.326 0.885
0.339 0.339 0.397
0.661 0.661 0.603
0.674 0.674 0.115
0.991 0.991 0.731
0.500 0.500 0.000
0.180 0.180 0.372
0.820 0.820 0.628
0.161 0.161 0.852
0.500 0.500 0.500
0.839 0.839 0.148
```

Entry 2:
Starting from a crystal structure in Alexandria, relaxed with GGA-PBE, the X-ray diffraction stick pattern of Ca3Ag2Hg was simulated for Cu Kα (λ = 1.5418 Å).
Kinematic intensities with the Lorentz-polarization factor, no thermal factor.

Top 10 peaks for 2θ = 10–90°, by angle:
2θ 23.69, rel. 355; 2θ 24.02, rel. 172; 2θ 33.64, rel. 257; 2θ 33.86, rel. 253; 2θ 33.99, rel. 1000; 2θ 48.47, rel. 178; 2θ 54.80, rel. 115; 2θ 60.38, rel. 186; 2θ 60.66, rel. 177; 2θ 81.10, rel. 117

Cell and atoms:
```
Ca3Ag2Hg
1.0
2.647 -7.993 0.000
2.647 7.993 0.000
0.000 0.000 3.704
Ca Ag Hg
3 2 1
Direct
0.000 0.000 0.000
0.332 0.668 0.000
0.668 0.332 0.000
0.167 0.833 0.500
0.833 0.167 0.500
0.500 0.500 0.500
```

Entry 3:
Starting from a crystal structure in Alexandria, relaxed with GGA-PBE, the X-ray diffraction stick pattern of Pu3Tl4Se8 was simulated for Cu Kα (λ = 1.5418 Å).
Kinematic intensities with the Lorentz-polarization factor, no thermal factor.

Top 10 peaks for 2θ = 10–90°, by angle:
2θ 10.92, rel. 561; 2θ 20.89, rel. 405; 2θ 21.93, rel. 361; 2θ 23.63, rel. 587; 2θ 24.45, rel. 638; 2θ 28.34, rel. 1000; 2θ 35.53, rel. 804; 2θ 38.39, rel. 968; 2θ 42.52, rel. 865; 2θ 58.60, rel. 329

Cell and atoms:
```
Pu3Tl4Se8
1.0
4.252 2.455 8.104
-4.252 2.455 8.104
0.000 -4.910 8.104
Pu Tl Se
3 4 8
Direct
0.000 0.500 0.500
0.500 0.000 0.500
0.500 0.500 0.000
0.000 0.000 0.000
0.142 0.142 0.142
0.500 0.500 0.500
0.858 0.858 0.858
0.246 0.246 0.705
0.246 0.705 0.246
0.273 0.273 0.273
0.295 0.754 0.754
0.705 0.246 0.246
0.727 0.727 0.727
0.754 0.295 0.754
0.754 0.754 0.295
```

Entry 4:
Starting from a crystal structure in Alexandria, relaxed with GGA-PBE, the X-ray diffraction stick pattern of ThTi2BeCo4 was simulated for Cu Kα (λ = 1.5418 Å).
Kinematic intensities with the Lorentz-polarization factor, no thermal factor.

Top 10 peaks for 2θ = 10–90°, by angle:
2θ 10.82, rel. 259; 2θ 25.93, rel. 494; 2θ 26.70, rel. 301; 2θ 31.58, rel. 787; 2θ 36.43, rel. 521; 2θ 39.20, rel. 633; 2θ 45.26, rel. 1000; 2θ 56.23, rel. 210; 2θ 74.95, rel. 275; 2θ 83.59, rel. 210

Cell and atoms:
```
ThTi2BeCo4
1.0
2.004 1.157 8.178
-2.004 1.157 8.178
0.000 -2.314 8.178
Th Ti Be Co
1 2 1 4
Direct
0.000 0.000 0.000
0.231 0.231 0.231
0.769 0.769 0.769
0.500 0.500 0.500
0.134 0.134 0.134
0.405 0.405 0.405
0.595 0.595 0.595
0.866 0.866 0.866
```

Entry 5:
Starting from a crystal structure in Alexandria, relaxed with GGA-PBE, the X-ray diffraction stick pattern of Pd2AuSe3 was simulated for Cu Kα (λ = 1.5418 Å).
Kinematic intensities with the Lorentz-polarization factor, no thermal factor.

Top 10 peaks for 2θ = 10–90°, by angle:
2θ 13.70, rel. 106; 2θ 29.67, rel. 105; 2θ 32.82, rel. 1000; 2θ 37.96, rel. 96; 2θ 45.33, rel. 327; 2θ 48.81, rel. 351; 2θ 60.06, rel. 170; 2θ 68.80, rel. 91; 2θ 80.93, rel. 141; 2θ 88.84, rel. 94

Cell and atoms:
```
Pd2AuSe3
1.0
7.464 0.000 0.000
-3.732 6.464 0.000
0.000 0.000 5.095
Pd Au Se
4 2 6
Direct
0.000 0.000 0.000
0.000 0.500 0.000
0.500 0.000 0.000
0.500 0.500 0.000
0.333 0.667 0.361
0.667 0.333 0.639
0.176 0.351 0.746
0.176 0.824 0.746
0.351 0.176 0.254
0.649 0.824 0.746
0.824 0.176 0.254
0.824 0.649 0.254
```